Record 1
This entry pairs a crystal structure of SrPd4Pb4 with its theoretical powder diffraction line list. Radiation: λ = 1.5418 Å (Cu Kα). Structure: DFT lattice parameters and positions (GGA-PBE).
Peak positions follow from Bragg's law for the DFT cell and can differ from measured ones.

The 8 most intense peaks (10 to 90 degrees two-theta), low angle first:
2θ (°)	I (rel.)
13.52	73
26.83	31
30.52	100
33.61	61
38.60	32
38.91	36
43.77	72
59.98	31

Structure:
Unit cell a=9.2615 b=9.2615 c=5.5681 alpha=90.00 beta=90.00 gamma=90.00
Sites, in units of the cell vectors:
Sr  0.2500  0.2500  0.2500
Sr  0.7500  0.7500  0.7500
Pd  0.0595  0.5990  0.6604
Pd  0.0990  0.9405  0.1604
Pd  0.4010  0.5595  0.1604
Pd  0.4405  0.9010  0.6604
Pd  0.5595  0.0990  0.3396
Pd  0.5990  0.4405  0.8396
Pd  0.9010  0.0595  0.8396
Pd  0.9405  0.4010  0.3396
Pb  0.1007  0.6340  0.1586
Pb  0.1340  0.8993  0.6586
Pb  0.3660  0.6007  0.6586
Pb  0.3993  0.8660  0.1586
Pb  0.6007  0.1340  0.8414
Pb  0.6340  0.3993  0.3414
Pb  0.8660  0.1007  0.3414
Pb  0.8993  0.3660  0.8414

Record 2
This entry pairs a crystal structure of Sr2CuCO5 with its theoretical powder diffraction line list. Radiation: λ = 1.5418 Å (Cu Kα). Structure: DFT lattice parameters and positions (GGA-PBE).
Peak positions follow from Bragg's law for the DFT cell and can differ from measured ones.

The 8 most intense peaks (10 to 90 degrees two-theta), low angle first:
2θ (°)	I (rel.)
11.47	31
32.24	45
32.54	100
40.01	16
41.99	20
46.25	28
57.68	32
58.24	11

Structure:
Unit cell a=8.6584 b=8.6584 c=8.6584 alpha=142.60 beta=142.60 gamma=53.93
Sites, in units of the cell vectors:
Sr  0.1123  0.6123  0.5000
Sr  0.3877  0.8877  0.5000
Sr  0.6123  0.1123  0.5000
Sr  0.8877  0.3877  0.5000
Cu  0.0000  0.0000  0.0000
Cu  0.5000  0.5000  0.0000
C  0.2484  0.2484  0.0000
C  0.7516  0.7516  0.0000
O  0.1463  0.4338  0.0000
O  0.1641  0.1641  0.0000
O  0.2469  0.2469  0.5041
O  0.2572  0.7531  0.0000
O  0.4338  0.1463  0.0000
O  0.5662  0.5662  0.7125
O  0.7428  0.7428  0.4959
O  0.7531  0.2572  0.0000
O  0.8359  0.8359  0.0000
O  0.8537  0.8537  0.2875